No. 1
Diffraction record for Pr2NdSm2Er. The X-ray diffraction stick pattern is computed, not measured: it uses DFT lattice parameters and positions (PBE) and Cu Kα (λ = 1.5418 Å).
Kinematic intensities with the Lorentz-polarization factor, no thermal factor.

Crystal structure
a b c (Å): 7.123 5.757 9.962
angles (deg): 90.00 90.00 90.00
Fractional coordinates of all 12 atoms:
Pr1 0.000 0.000 0.000
Pr2 0.250 0.500 0.176
Pr3 0.500 0.000 0.000
Pr4 0.750 0.500 0.824
Nd1 0.250 0.000 0.659
Nd2 0.750 0.000 0.341
Sm1 0.250 0.000 0.332
Sm2 0.250 0.500 0.835
Sm3 0.750 0.000 0.668
Sm4 0.750 0.500 0.165
Er1 0.000 0.500 0.500
Er2 0.500 0.500 0.500

The 10 most intense peaks (5° ≤ 2θ ≤ 70°), in order of falling intensity:
| 2θ (°) | Rel. int. |
| --- | --- |
| 31.08 | 100 |
| 30.86 | 92 |
| 55.16 | 36 |
| 44.37 | 34 |
| 61.21 | 29 |
| 55.30 | 19 |
| 64.81 | 12 |
| 40.30 | 9 |
| 51.31 | 8 |
| 25.00 | 6 |

No. 2
Diffraction record for Pr2NdSmEr4. The X-ray diffraction stick pattern is computed, not measured: it uses DFT lattice parameters and positions (PBE) and Cu Kα (λ = 1.5418 Å).
Kinematic intensities with the Lorentz-polarization factor, no thermal factor.

Crystal structure
a b c (Å): 5.116 5.141 9.978
angles (deg): 90.00 90.00 90.00
Fractional coordinates of all 8 atoms:
Pr1 0.000 0.000 0.000
Pr2 0.500 0.500 0.500
Nd1 0.000 0.000 0.500
Sm1 0.500 0.500 0.000
Er1 0.000 0.500 0.249
Er2 0.000 0.500 0.751
Er3 0.500 0.000 0.249
Er4 0.500 0.000 0.751

The 10 most intense peaks (5° ≤ 2θ ≤ 70°), in order of falling intensity:
| 2θ (°) | Rel. int. |
| --- | --- |
| 30.47 | 100 |
| 34.91 | 17 |
| 35.08 | 17 |
| 36.00 | 16 |
| 59.86 | 15 |
| 60.10 | 15 |
| 61.32 | 14 |
| 50.32 | 12 |
| 63.42 | 12 |
| 51.02 | 12 |

No. 3
Diffraction record for Pr2NdSm2Er2. The X-ray diffraction stick pattern is computed, not measured: it uses DFT lattice parameters and positions (PBE) and Cu Kα (λ = 1.5418 Å).
Kinematic intensities with the Lorentz-polarization factor, no thermal factor.

Crystal structure
a b c (Å): 6.273 6.273 8.125
angles (deg): 97.41 97.41 48.22
Fractional coordinates of all 7 atoms:
Pr1 0.143 0.143 0.429
Pr2 0.857 0.857 0.571
Nd1 0.000 0.000 0.000
Sm1 0.429 0.429 0.282
Sm2 0.571 0.571 0.718
Er1 0.285 0.285 0.860
Er2 0.715 0.715 0.140

The 9 most intense peaks (5° ≤ 2θ ≤ 70°), in order of falling intensity:
| 2θ (°) | Rel. int. |
| --- | --- |
| 30.18 | 100 |
| 35.02 | 34 |
| 59.85 | 29 |
| 50.28 | 18 |
| 50.37 | 18 |
| 34.94 | 17 |
| 59.74 | 14 |
| 62.71 | 6 |
| 62.82 | 6 |